Diffraction record for KCe2F11. The powder diffractogram is theoretical, not measured: it uses a cell relaxed with PBE and Cu Ka.
Lines closer than 0.1° are merged.

Structure:
```
data_KCe2F11
_cell_length_a 8.902
_cell_length_b 10.335
_cell_length_c 12.858
_cell_angle_alpha 90.00
_cell_angle_beta 90.00
_cell_angle_gamma 90.00
_space_group_name_H-M_alt 'I b a m'
_space_group_IT_number 72
_space_group_name_Hall '-I 2 2c'
loop_
_atom_site_label
_atom_site_type_symbol
_atom_site_fract_x
_atom_site_fract_y
_atom_site_fract_z
K1 K 0.000 0.000 0.250
Ce1 Ce 0.176 0.306 0.000
F1 F 0.000 0.500 0.000
F2 F 0.091 0.303 0.500
F3 F 0.128 0.175 0.122
F4 F 0.229 0.077 0.382
```

Peak list (12 most intense, 2θ = 5–70°, by angle)
hkl 0 0 2, 2θ 13.8, rel. 100
hkl 0 2 0, 2θ 17.2, rel. 21
hkl 1 1 2, 2θ 19.1, rel. 27
hkl 1 2 1, 2θ 21.0, rel. 41
hkl 0 2 2, 2θ 22.1, rel. 50
hkl 2 1 1, 2θ 22.8, rel. 63
hkl 2 0 2, 2θ 24.3, rel. 18
hkl 2 2 4, 2θ 38.7, rel. 15
hkl 1 4 3, 2θ 42.1, rel. 47
hkl 3 3 2, 2θ 42.6, rel. 22
hkl 4 1 3, 2θ 46.8, rel. 15
hkl 1 4 5, 2θ 51.2, rel. 16